Starting from the PBE geometry in OQMD, the powder diffractogram of Y3Er5Te was calculated for CuKα.
Intensities are scaled so that the largest is 100.

Atomic structure:
```
Y3Er5Te
1.0
9.187 0.000 0.000
-4.593 7.956 0.000
0.000 0.000 3.762
Y Er Te
3 5 1
Direct
0.000 0.275 0.000
0.275 0.000 0.000
0.725 0.725 0.000
0.000 0.616 0.500
0.333 0.667 0.000
0.384 0.384 0.500
0.616 0.000 0.500
0.667 0.333 0.000
0.000 0.000 0.500
```

Largest 8 diffraction maxima, low angle first, 2θ from 10° to 80°:
2θ/deg, Rel. int.
29.71, 30
30.72, 100
32.76, 62
33.80, 83
38.32, 29
56.00, 36
60.32, 31
63.48, 17